Record 1
Structure and theoretical XRD peak list of TbDyCoGe2 (a DFT-relaxed cell (GGA-PBE, OQMD); Cu Kα (weighted mean of Kα1 and Kα2)).
No peak broadening, texture or thermal motion is included.

Largest 12 diffraction maxima, in order of rising 2θ, 10° ≤ 2θ ≤ 80°:
- 2θ = 27.00°, rel. 15.2
- 2θ = 33.52°, rel. 89.7
- 2θ = 33.64°, rel. 15.0
- 2θ = 33.91°, rel. 17.7
- 2θ = 34.18°, rel. 100.0
- 2θ = 37.16°, rel. 39.4
- 2θ = 40.00°, rel. 25.1
- 2θ = 41.12°, rel. 47.1
- 2θ = 42.98°, rel. 43.7
- 2θ = 56.06°, rel. 15.4
- 2θ = 56.24°, rel. 18.0
- 2θ = 66.25°, rel. 20.7

Cell and atoms:
a = 5.650 Å, b = 5.650 Å, c = 10.214 Å
α = 115.84°, β = 115.84°, γ = 43.73°
Element x y z (fractional)
1 Tb 0.005 0.005 0.333
2 Tb 0.995 0.995 0.667
3 Dy 0.186 0.186 0.112
4 Dy 0.814 0.814 0.888
5 Co 0.276 0.276 0.644
6 Co 0.724 0.724 0.356
7 Ge 0.345 0.345 0.434
8 Ge 0.485 0.485 0.125
9 Ge 0.515 0.515 0.875
10 Ge 0.655 0.655 0.566

Record 2
Structure and theoretical XRD peak list of Dy3AsBr2Cl (a DFT-relaxed cell (GGA-PBE, OQMD); Cu Kα (weighted mean of Kα1 and Kα2)).
No peak broadening, texture or thermal motion is included.

Largest 12 diffraction maxima, in order of rising 2θ, 10° ≤ 2θ ≤ 80°:
- 2θ = 15.59°, rel. 37.4
- 2θ = 21.95°, rel. 12.3
- 2θ = 22.12°, rel. 18.5
- 2θ = 27.04°, rel. 20.2
- 2θ = 31.00°, rel. 52.1
- 2θ = 31.48°, rel. 100.0
- 2θ = 44.76°, rel. 74.9
- 2θ = 45.11°, rel. 36.6
- 2θ = 55.75°, rel. 38.9
- 2θ = 73.65°, rel. 17.0
- 2θ = 74.42°, rel. 16.5
- 2θ = 74.68°, rel. 16.3

Cell and atoms:
a = 5.684 Å, b = 5.684 Å, c = 5.769 Å
α = 90.00°, β = 90.00°, γ = 90.00°
Element x y z (fractional)
1 Dy 0.000 0.000 0.000
2 Dy 0.000 0.500 0.500
3 Dy 0.500 0.000 0.500
4 As 0.000 0.000 0.500
5 Br 0.000 0.500 0.000
6 Br 0.500 0.000 0.000
7 Cl 0.500 0.500 0.500

Record 3
Structure and theoretical XRD peak list of BaHgSeO (a DFT-relaxed cell (GGA-PBE, OQMD); Cu Kα (weighted mean of Kα1 and Kα2)).
No peak broadening, texture or thermal motion is included.

Largest 12 diffraction maxima, in order of rising 2θ, 10° ≤ 2θ ≤ 80°:
- 2θ = 25.86°, rel. 100.0
- 2θ = 26.20°, rel. 23.6
- 2θ = 28.00°, rel. 25.8
- 2θ = 28.49°, rel. 42.9
- 2θ = 29.23°, rel. 89.7
- 2θ = 35.12°, rel. 37.8
- 2θ = 35.31°, rel. 39.0
- 2θ = 36.96°, rel. 29.9
- 2θ = 40.52°, rel. 23.0
- 2θ = 51.61°, rel. 22.8
- 2θ = 53.97°, rel. 25.2
- 2θ = 57.11°, rel. 20.3

Cell and atoms:
a = 6.959 Å, b = 7.529 Å, c = 7.931 Å
α = 90.00°, β = 90.00°, γ = 90.00°
Element x y z (fractional)
1 Ba 0.189 0.079 0.439
2 Ba 0.311 0.921 0.939
3 Ba 0.689 0.421 0.561
4 Ba 0.811 0.579 0.061
5 Hg 0.197 0.559 0.355
6 Hg 0.303 0.441 0.855
7 Hg 0.697 0.941 0.645
8 Hg 0.803 0.059 0.145
9 Se 0.013 0.251 0.831
10 Se 0.487 0.749 0.331
11 Se 0.513 0.249 0.169
12 Se 0.987 0.751 0.669
13 O 0.026 0.877 0.160
14 O 0.474 0.123 0.660
15 O 0.526 0.623 0.840
16 O 0.974 0.377 0.340

Record 4
Structure and theoretical XRD peak list of YCo3Ni2 (a DFT-relaxed cell (GGA-PBE, OQMD); Cu Kα (weighted mean of Kα1 and Kα2)).
No peak broadening, texture or thermal motion is included.

Largest 12 diffraction maxima, in order of rising 2θ, 10° ≤ 2θ ≤ 80°:
- 2θ = 21.14°, rel. 5.9
- 2θ = 30.84°, rel. 25.5
- 2θ = 37.05°, rel. 25.4
- 2θ = 43.05°, rel. 29.0
- 2θ = 43.62°, rel. 100.0
- 2θ = 45.29°, rel. 30.7
- 2θ = 48.95°, rel. 22.2
- 2θ = 59.89°, rel. 11.8
- 2θ = 62.95°, rel. 6.2
- 2θ = 64.26°, rel. 16.3
- 2θ = 71.33°, rel. 21.1
- 2θ = 78.91°, rel. 16.0

Cell and atoms:
a = 4.853 Å, b = 4.853 Å, c = 4.005 Å
α = 90.00°, β = 90.00°, γ = 120.00°
Element x y z (fractional)
1 Y 0.000 0.000 0.000
2 Co 0.000 0.500 0.500
3 Co 0.500 0.000 0.500
4 Co 0.500 0.500 0.500
5 Ni 0.333 0.667 0.000
6 Ni 0.667 0.333 0.000

Record 5
Structure and theoretical XRD peak list of Tb2SmCu4Ge4 (a DFT-relaxed cell (GGA-PBE, OQMD); Cu Kα (weighted mean of Kα1 and Kα2)).
No peak broadening, texture or thermal motion is included.

Largest 12 diffraction maxima, in order of rising 2θ, 10° ≤ 2θ ≤ 80°:
- 2θ = 34.61°, rel. 25.5
- 2θ = 34.73°, rel. 88.1
- 2θ = 35.84°, rel. 100.0
- 2θ = 38.45°, rel. 20.1
- 2θ = 39.32°, rel. 13.1
- 2θ = 42.81°, rel. 36.9
- 2θ = 44.91°, rel. 28.8
- 2θ = 47.34°, rel. 15.1
- 2θ = 56.17°, rel. 12.6
- 2θ = 57.81°, rel. 12.6
- 2θ = 63.77°, rel. 19.6
- 2θ = 79.79°, rel. 14.6

Cell and atoms:
a = 8.066 Å, b = 8.066 Å, c = 8.066 Å
α = 149.63°, β = 130.84°, γ = 58.89°
Element x y z (fractional)
1 Tb 0.131 0.131 0.000
2 Tb 0.869 0.869 0.000
3 Sm 0.500 0.000 0.500
4 Cu 0.143 0.332 0.811
5 Cu 0.479 0.668 0.811
6 Cu 0.521 0.332 0.189
7 Cu 0.857 0.668 0.189
8 Ge 0.189 0.500 0.689
9 Ge 0.283 0.783 0.500
10 Ge 0.717 0.217 0.500
11 Ge 0.811 0.500 0.311

Record 6
Structure and theoretical XRD peak list of NdGaGePtAu (a DFT-relaxed cell (GGA-PBE, OQMD); Cu Kα (weighted mean of Kα1 and Kα2)).
No peak broadening, texture or thermal motion is included.

Largest 12 diffraction maxima, in order of rising 2θ, 10° ≤ 2θ ≤ 80°:
- 2θ = 26.53°, rel. 17.6
- 2θ = 30.26°, rel. 23.3
- 2θ = 32.69°, rel. 51.1
- 2θ = 33.71°, rel. 100.0
- 2θ = 41.52°, rel. 68.7
- 2θ = 45.22°, rel. 35.0
- 2θ = 47.81°, rel. 27.5
- 2θ = 53.82°, rel. 24.9
- 2θ = 60.17°, rel. 23.1
- 2θ = 65.14°, rel. 21.8
- 2θ = 70.77°, rel. 23.4
- 2θ = 78.35°, rel. 14.1

Cell and atoms:
a = 4.350 Å, b = 4.350 Å, c = 10.579 Å
α = 90.00°, β = 90.00°, γ = 90.00°
Element x y z (fractional)
1 Nd 0.250 0.250 0.241
2 Nd 0.750 0.750 0.759
3 Ga 0.250 0.750 0.500
4 Ga 0.750 0.250 0.500
5 Ge 0.250 0.250 0.876
6 Ge 0.750 0.750 0.124
7 Pt 0.250 0.750 0.000
8 Pt 0.750 0.250 0.000
9 Au 0.250 0.250 0.637
10 Au 0.750 0.750 0.363